[1]
Diffraction record for MgSb4W2O12. The powder XRD pattern is theoretical, not measured: it uses a GGA+U-relaxed structure and Cu Kα.

Structure:
Lattice parameters (Å, degrees): 5.429 5.676 9.628 86.14 89.53 89.48
Atoms (fractional coordinates):
Mg  0.000  0.000  0.000
Sb  0.086  0.841  0.401
Sb  0.441  0.358  0.418
Sb  0.621  0.670  0.770
Sb  0.976  0.169  0.700
W  0.023  0.490  0.086
W  0.516  0.988  0.092
O  0.166  0.482  0.270
O  0.180  0.141  0.514
O  0.253  0.748  0.028
O  0.260  0.244  0.027
O  0.303  0.629  0.520
O  0.380  0.980  0.287
O  0.684  0.983  0.898
O  0.711  0.382  0.633
O  0.794  0.734  0.138
O  0.804  0.232  0.129
O  0.832  0.871  0.636
O  0.902  0.527  0.894

Principal peaks in the range 10 to 90 degrees two-theta, sorted by position:
- 2θ 24.89, I 100.0
- 2θ 24.98, I 87.7
- 2θ 27.86, I 60.5
- 2θ 28.56, I 49.2
- 2θ 28.88, I 54.0
- 2θ 32.36, I 51.9
- 2θ 37.96, I 24.3
- 2θ 51.08, I 27.5


[2]
Diffraction record for MgSb4W2O12. The powder XRD pattern is theoretical, not measured: it uses a GGA+U-relaxed structure and Cu Kα.

Structure:
Lattice parameters (Å, degrees): 5.112 5.720 10.498 85.84 83.44 88.97
Atoms (fractional coordinates):
Mg  0.000  0.000  0.000
Sb  0.360  0.415  0.450
Sb  0.419  0.088  0.154
Sb  0.741  0.557  0.012
Sb  0.996  0.886  0.447
W  0.365  0.741  0.748
W  0.871  0.246  0.737
O  0.072  0.224  0.564
O  0.097  0.989  0.813
O  0.105  0.493  0.788
O  0.111  0.600  0.351
O  0.259  0.737  0.563
O  0.290  0.088  0.343
O  0.431  0.704  0.937
O  0.545  0.408  0.170
O  0.624  0.475  0.694
O  0.627  0.974  0.703
O  0.728  0.238  0.935
O  0.751  0.921  0.157

Principal peaks in the range 10 to 90 degrees two-theta, sorted by position:
- 2θ 18.55, I 42.8
- 2θ 24.79, I 78.8
- 2θ 25.69, I 55.8
- 2θ 25.94, I 100.0
- 2θ 27.11, I 30.9
- 2θ 28.70, I 26.4
- 2θ 29.76, I 56.9
- 2θ 31.94, I 50.6


[3]
Diffraction record for MgSc2V2O8. The powder XRD pattern is theoretical, not measured: it uses a GGA+U-relaxed structure and Cu Kα.

Structure:
Lattice parameters (Å, degrees): 4.935 4.968 7.741 104.26 104.47 102.78
Atoms (fractional coordinates):
Mg  0.000  0.000  0.000
Sc  0.674  0.680  0.355
Sc  0.835  0.339  0.675
V  0.194  0.200  0.394
V  0.333  0.837  0.670
O  0.058  0.042  0.595
O  0.149  0.729  0.839
O  0.318  0.327  0.206
O  0.467  0.989  0.457
O  0.532  0.555  0.594
O  0.687  0.108  0.838
O  0.884  0.886  0.207
O  0.985  0.474  0.457

Principal peaks in the range 10 to 90 degrees two-theta, sorted by position:
- 2θ 12.46, I 100.0
- 2θ 26.23, I 71.4
- 2θ 31.58, I 18.7
- 2θ 38.63, I 57.5
- 2θ 46.97, I 20.5
- 2θ 54.31, I 16.7
- 2θ 54.41, I 8.5
- 2θ 59.87, I 8.9


[4]
Diffraction record for MgSc2V2O8. The powder XRD pattern is theoretical, not measured: it uses a GGA+U-relaxed structure and Cu Kα.

Structure:
Lattice parameters (Å, degrees): 5.874 5.874 5.883 105.66 105.66 114.42
Atoms (fractional coordinates):
Mg  0.000  0.000  0.000
Sc  0.516  0.484  0.500
Sc  0.697  0.303  0.000
V  0.279  0.721  0.000
V  0.976  0.024  0.500
O  0.286  0.575  0.223
O  0.356  0.199  0.668
O  0.392  0.114  0.153
O  0.425  0.714  0.777
O  0.801  0.644  0.332
O  0.850  0.100  0.740
O  0.886  0.608  0.847
O  0.900  0.150  0.260

Principal peaks in the range 10 to 90 degrees two-theta, sorted by position:
- 2θ 25.10, I 100.0
- 2θ 31.65, I 28.4
- 2θ 32.46, I 38.5
- 2θ 33.54, I 28.1
- 2θ 33.96, I 23.7
- 2θ 40.23, I 20.0
- 2θ 50.62, I 19.2
- 2θ 51.52, I 24.2


[5]
Diffraction record for Mg14VSiO16. The powder XRD pattern is theoretical, not measured: it uses a GGA+U-relaxed structure and Cu Kα.

Structure:
Lattice parameters (Å, degrees): 8.598 8.598 4.299 90.00 90.00 90.00
Atoms (fractional coordinates):
Mg  0.000  0.251  0.000
Mg  0.000  0.500  0.500
Mg  0.000  0.749  0.000
Mg  0.247  0.500  0.000
Mg  0.249  0.249  0.500
Mg  0.249  0.751  0.500
Mg  0.251  0.000  0.000
Mg  0.500  0.000  0.500
Mg  0.500  0.247  0.000
Mg  0.500  0.753  0.000
Mg  0.749  0.000  0.000
Mg  0.751  0.249  0.500
Mg  0.751  0.751  0.500
Mg  0.753  0.500  0.000
V  0.000  0.000  0.500
Si  0.500  0.500  0.500
O  0.000  0.000  0.000
O  0.000  0.254  0.500
O  0.000  0.500  0.000
O  0.000  0.746  0.500
O  0.239  0.500  0.500
O  0.250  0.250  0.000
O  0.250  0.750  0.000
O  0.254  0.000  0.500
O  0.500  0.000  0.000
O  0.500  0.239  0.500
O  0.500  0.500  0.000
O  0.500  0.761  0.500
O  0.746  0.000  0.500
O  0.750  0.250  0.000
O  0.750  0.750  0.000
O  0.761  0.500  0.500

Principal peaks in the range 10 to 90 degrees two-theta, sorted by position:
- 2θ 10.29, I 2.5
- 2θ 20.66, I 1.2
- 2θ 23.13, I 1.5
- 2θ 36.19, I 13.2
- 2θ 42.03, I 100.0
- 2θ 60.95, I 56.4
- 2θ 72.99, I 8.5
- 2θ 76.80, I 17.0


[6]
Diffraction record for Mg6VSiO8. The powder XRD pattern is theoretical, not measured: it uses a GGA+U-relaxed structure and Cu Kα.

Structure:
Lattice parameters (Å, degrees): 4.342 4.342 8.704 90.00 90.00 90.00
Atoms (fractional coordinates):
Mg  0.000  0.000  0.000
Mg  0.000  0.000  0.500
Mg  0.000  0.500  0.248
Mg  0.000  0.500  0.752
Mg  0.500  0.000  0.248
Mg  0.500  0.000  0.752
V  0.500  0.500  0.000
Si  0.500  0.500  0.500
O  0.000  0.000  0.250
O  0.000  0.000  0.750
O  0.000  0.500  0.000
O  0.000  0.500  0.500
O  0.500  0.000  0.000
O  0.500  0.000  0.500
O  0.500  0.500  0.245
O  0.500  0.500  0.755

Principal peaks in the range 10 to 90 degrees two-theta, sorted by position:
- 2θ 10.16, I 4.4
- 2θ 20.44, I 4.3
- 2θ 29.06, I 3.3
- 2θ 35.79, I 16.1
- 2θ 41.56, I 100.0
- 2θ 60.23, I 56.8
- 2θ 72.13, I 6.3
- 2θ 75.84, I 17.2